Ce2Zn15Cu2: computed powder XRD pattern (Cu Kα (weighted mean of Kα1 and Kα2)), based on the GGA-PBE geometry in Alexandria.
Lines closer than 0.1° are merged.

Top 12 peaks for 15° ≤ 2θ ≤ 90°, in order of rising 2θ:
2θ (°), I/Imax
28.37, 26.3
34.61, 36.6
35.64, 31.5
40.18, 67.6
40.37, 100.0
40.93, 37.3
41.09, 16.2
41.27, 23.2
45.34, 38.1
58.70, 18.1
72.99, 23.9
74.16, 20.3

a = 6.805 Å, b = 6.805 Å, c = 6.805 Å
α = 82.54°, β = 82.54°, γ = 82.54°
Sites, in units of the cell vectors:
Ce: 0.162 0.162 0.162
Ce: 0.838 0.838 0.838
Zn: 0.000 0.500 0.500
Zn: 0.150 0.150 0.656
Zn: 0.150 0.656 0.150
Zn: 0.212 0.500 0.788
Zn: 0.212 0.788 0.500
Zn: 0.344 0.850 0.850
Zn: 0.500 0.000 0.500
Zn: 0.500 0.212 0.788
Zn: 0.500 0.500 0.000
Zn: 0.500 0.788 0.212
Zn: 0.656 0.150 0.150
Zn: 0.788 0.212 0.500
Zn: 0.788 0.500 0.212
Zn: 0.850 0.344 0.850
Zn: 0.850 0.850 0.344
Cu: 0.399 0.399 0.399
Cu: 0.601 0.601 0.601